# 1
The following is a computed X-ray diffraction stick pattern of Sc2PaRh3. It was derived from DFT lattice parameters and positions (PBE), using Cu Kα (λ = 1.5418 Å).
Peak positions follow from Bragg's law for the DFT cell and can differ from measured ones.

Principal peaks in the range 15 to 90 degrees two-theta, low angle first:
2theta, Rel. int., hkl
19.88, 18, 1 1 0
33.15, 9, 1 1 1
38.07, 100, 2 0 0
39.14, 18, 0 6 0
55.79, 14, 2 6 0
68.86, 14, 3 3 1
70.21, 12, 1 9 1
81.40, 8, 2 6 2

Cell and atoms:
a = 4.720 Å, b = 13.809 Å, c = 3.394 Å
α = 90.00°, β = 90.00°, γ = 90.00°
Space group Cmmm (No. 65)
One atom of each set of equivalent atoms:
Sc 0.000 0.173 0.000
Pa 0.000 0.500 0.000
Rh 0.000 0.000 0.500
Rh 0.000 0.338 0.500

---

# 2
The following is a computed X-ray diffraction stick pattern of PaSi4Rh4. It was derived from DFT lattice parameters and positions (PBE), using Cu Kα (λ = 1.5418 Å).
Peak positions follow from Bragg's law for the DFT cell and can differ from measured ones.

Principal peaks in the range 15 to 90 degrees two-theta, low angle first:
2theta, Rel. int., hkl
26.80, 18, 1 0 2
30.80, 26, 1 1 2
32.11, 17, 2 0 1
35.58, 100, 2 1 1
36.83, 43, 1 0 3
57.03, 16, 3 2 1
57.91, 20, 3 0 3
64.16, 23, 2 2 4

Cell and atoms:
a = 5.944 Å, b = 5.944 Å, c = 8.030 Å
α = 90.00°, β = 90.00°, γ = 90.00°
Space group P4_2/nmc (No. 137, origin choice 2)
One atom of each set of equivalent atoms:
Pa 0.250 0.750 0.250
Si 0.049 0.250 0.079
Rh 0.018 0.250 0.378

---

# 3
The following is a computed X-ray diffraction stick pattern of Pa2Si3Rh2. It was derived from DFT lattice parameters and positions (PBE), using Cu Kα (λ = 1.5418 Å).
Peak positions follow from Bragg's law for the DFT cell and can differ from measured ones.

Principal peaks in the range 15 to 90 degrees two-theta, low angle first:
2theta, Rel. int., hkl
22.06, 30, 1 1 0
23.95, 41, 0 4 1
33.01, 31, 0 6 1
34.58, 88, 1 1 2
35.85, 100, 1 5 1
43.76, 32, 2 0 0
45.02, 34, 0 4 3
52.87, 24, 1 5 3

Cell and atoms:
a = 4.138 Å, b = 17.765 Å, c = 6.778 Å
α = 90.00°, β = 90.00°, γ = 90.00°
Space group Cmcm (No. 63)
One atom of each set of equivalent atoms:
Pa 0.000 0.052 0.250
Pa 0.000 0.156 0.750
Si 0.000 0.219 0.250
Si 0.000 0.440 0.067
Rh 0.000 0.308 0.543